For Pu5PdRu, the GGA-PBE geometry in Alexandria gives the simulated powder diffractogram in this record (Cu Ka).
No peak broadening, texture or thermal motion is included.

Structural model:
Lattice parameters (Å, degrees): 4.8960 4.9386 6.5830 90.00 90.00 90.00
Sites, in units of the cell vectors:
Pu (0.0000, 0.0000, 0.0000)
Pu (0.0000, 0.5000, 0.2747)
Pu (0.0000, 0.5000, 0.7253)
Pu (0.5000, 0.0000, 0.2702)
Pu (0.5000, 0.0000, 0.7298)
Pd (0.5000, 0.5000, 0.0000)
Ru (0.0000, 0.0000, 0.5000)

The 10 most intense peaks (2θ = 15–90°), by angle:
(hkl)	2θ (°)	d (Å)	intensity
1 1 0	25.62	3.477	17.4
1 1 1	29.04	3.074	14.9
0 2 0	36.38	2.469	28.9
2 0 0	36.71	2.448	28.2
1 1 2	37.63	2.390	100.0
2 2 0	52.65	1.738	20.5
1 3 2	66.29	1.410	19.7
3 1 2	66.72	1.402	19.3
2 2 4	80.34	1.195	9.8
3 3 2	89.69	1.093	9.3